Calculated X-ray powder pattern
Compound: Rb4Ag3Cl12
Radiation: Cu Kα (weighted mean of Kα1 and Kα2)
Structure: a structure optimized by DFT (GGA-PBE)

Crystal structure
Lattice parameters (Å, degrees): 11.491 11.491 11.491 90.00 90.00 90.00
Space group Im-3 (No. 204)
Inequivalent atoms, fractional coordinates:
1 Rb 0.250 0.250 0.250 x8
2 Ag 0.000 0.000 0.500 x6
3 Cl 0.000 0.146 0.354 x24

Most intense lines, 2θ from 10° to 90°, in order of rising 2θ:
2θ (°)	Rel. int.
10.89	37
18.92	22
21.88	100
24.50	22
31.13	18
38.37	70
50.21	28
60.27	23
69.40	18
86.34	14

=====

Calculated X-ray powder pattern
Compound: Er2ScPd3
Radiation: Cu Kα (weighted mean of Kα1 and Kα2)
Structure: a structure optimized by DFT (GGA-PBE)

Crystal structure
Lattice parameters (Å, degrees): 4.875 14.714 3.354 90.00 90.00 90.00
Space group Pmmn (No. 59, origin choice 2)
Inequivalent atoms, fractional coordinates:
1 Er 0.250 0.084 0.001 x4
2 Sc 0.250 0.750 0.999 x2
3 Pd 0.250 0.250 0.501 x2
4 Pd 0.250 0.594 0.499 x4

Most intense lines, 2θ from 10° to 90°, in order of rising 2θ:
2θ (°)	Rel. int.
36.64	25
36.88	26
37.36	100
52.97	17
54.74	8
66.45	16
66.75	18
67.69	8
67.84	9
79.66	10

=====

Calculated X-ray powder pattern
Compound: Ho12HgPd6
Radiation: Cu Kα (weighted mean of Kα1 and Kα2)
Structure: a structure optimized by DFT (GGA-PBE)

Crystal structure
Lattice parameters (Å, degrees): 9.876 9.876 9.876 90.00 90.00 90.00
Space group Im-3 (No. 204)
Inequivalent atoms, fractional coordinates:
1 Ho 0.000 0.295 0.183 x24
2 Hg 0.000 0.000 0.000 x2
3 Pd 0.000 0.138 0.500 x12

Most intense lines, 2θ from 10° to 90°, in order of rising 2θ:
2θ (°)	Rel. int.
28.58	15
31.38	26
33.96	100
36.39	15
38.68	13
46.91	17
54.15	20
57.53	30
67.00	15
84.36	13

=====

Calculated X-ray powder pattern
Compound: Rb2SbTe4
Radiation: Cu Kα (weighted mean of Kα1 and Kα2)
Structure: a structure optimized by DFT (GGA-PBE)

Crystal structure
Lattice parameters (Å, degrees): 8.792 4.256 8.840 90.00 108.73 90.00
Space group P2/m (No. 10)
Inequivalent atoms, fractional coordinates:
1 Rb 0.214 0.000 0.311 x2
2 Sb 0.500 0.500 0.000 x1
3 Te 0.114 0.500 0.921 x2
4 Te 0.398 0.000 0.745 x2

Most intense lines, 2θ from 10° to 90°, in order of rising 2θ:
2θ (°)	Rel. int.
10.57	99
20.55	47
23.45	91
29.43	36
29.95	100
30.51	46
32.40	31
34.21	46
38.91	33
42.47	26

=====

Please write out number 3 again, unchanged.
Calculated X-ray powder pattern
Compound: Ho12HgPd6
Radiation: Cu Kα (weighted mean of Kα1 and Kα2)
Structure: a structure optimized by DFT (GGA-PBE)

Crystal structure
Lattice parameters (Å, degrees): 9.876 9.876 9.876 90.00 90.00 90.00
Space group Im-3 (No. 204)
Inequivalent atoms, fractional coordinates:
1 Ho 0.000 0.295 0.183 x24
2 Hg 0.000 0.000 0.000 x2
3 Pd 0.000 0.138 0.500 x12

Most intense lines, 2θ from 10° to 90°, in order of rising 2θ:
2θ (°)	Rel. int.
28.58	15
31.38	26
33.96	100
36.39	15
38.68	13
46.91	17
54.15	20
57.53	30
67.00	15
84.36	13

=====

Q: What is the formula in the fourth record?
A: Rb2SbTe4